# 1
Simulated powder diffraction line list of TeMoWSeS2 for Cu Kα X-rays, from a DFT-relaxed cell (GGA-PBE, the Materials Project).
Neutral-atom scattering factors, no anomalous dispersion.

Structural model:
```
data_TeMoWSeS2
_symmetry_space_group_name_H-M 'P 3 m 1'
_symmetry_Int_Tables_number 156
_symmetry_space_group_name_Hall 'P 3 -2"'
_cell_length_a 3.3090
_cell_length_b 3.3090
_cell_length_c 37.6148
_cell_angle_alpha 90.00
_cell_angle_beta 90.00
_cell_angle_gamma 120.00
loop_
_atom_site_label
_atom_site_fract_x
_atom_site_fract_y
_atom_site_fract_z
Te1 0.0000 0.0000 0.0000
Te2 0.0000 0.0000 0.1023
Mo1 0.0000 0.0000 0.4875
Mo2 0.3333 0.6667 0.6754
W1 0.0000 0.0000 0.8632
W2 0.3333 0.6667 0.0512
Se1 0.3333 0.6667 0.4429
Se2 0.3333 0.6667 0.5321
S1 0.0000 0.0000 0.6348
S2 0.0000 0.0000 0.7160
S3 0.3333 0.6667 0.8225
S4 0.3333 0.6667 0.9040
```

Most intense lines, 2θ = 10–90°, in order of falling intensity:
| 2theta | intensity |
| --- | --- |
| 11.76 | 100 |
| 36.73 | 78 |
| 44.50 | 39 |
| 31.24 | 39 |
| 55.55 | 25 |
| 14.13 | 22 |
| 39.53 | 17 |
| 33.46 | 13 |
| 46.32 | 12 |
| 78.73 | 12 |

# 2
Simulated powder diffraction line list of Si5Rh4 for Cu Kα X-rays, from a DFT-relaxed cell (GGA-PBE, the Materials Project).
Neutral-atom scattering factors, no anomalous dispersion.

Structural model:
```
data_Si5Rh4
_symmetry_space_group_name_H-M 'P 1 21/m 1'
_symmetry_Int_Tables_number 11
_symmetry_space_group_name_Hall '-P 2yb'
_cell_length_a 5.9883
_cell_length_b 3.5591
_cell_length_c 12.4487
_cell_angle_alpha 90.00
_cell_angle_beta 100.09
_cell_angle_gamma 90.00
loop_
_atom_site_label
_atom_site_fract_x
_atom_site_fract_y
_atom_site_fract_z
Si1 0.0130 0.2500 0.0774
Si2 0.0329 0.2500 0.7762
Si3 0.1385 0.7500 0.6354
Si4 0.3932 0.7500 0.4224
Si5 0.4799 0.2500 0.1398
Rh1 0.1999 0.2500 0.5000
Rh2 0.2147 0.2500 0.2698
Rh3 0.2909 0.2500 0.9499
Rh4 0.3923 0.2500 0.7267
```

Most intense lines, 2θ = 10–90°, in order of falling intensity:
| 2theta | intensity |
| --- | --- |
| 29.31 | 100 |
| 43.74 | 62 |
| 42.88 | 43 |
| 45.34 | 32 |
| 29.14 | 30 |
| 51.34 | 28 |
| 44.37 | 16 |
| 47.71 | 16 |
| 46.33 | 15 |
| 24.23 | 14 |

Please write out number 1 again, unchanged.
Simulated powder diffraction line list of TeMoWSeS2 for Cu Kα X-rays, from a DFT-relaxed cell (GGA-PBE, the Materials Project).
Neutral-atom scattering factors, no anomalous dispersion.

Structural model:
```
data_TeMoWSeS2
_symmetry_space_group_name_H-M 'P 3 m 1'
_symmetry_Int_Tables_number 156
_symmetry_space_group_name_Hall 'P 3 -2"'
_cell_length_a 3.3090
_cell_length_b 3.3090
_cell_length_c 37.6148
_cell_angle_alpha 90.00
_cell_angle_beta 90.00
_cell_angle_gamma 120.00
loop_
_atom_site_label
_atom_site_fract_x
_atom_site_fract_y
_atom_site_fract_z
Te1 0.0000 0.0000 0.0000
Te2 0.0000 0.0000 0.1023
Mo1 0.0000 0.0000 0.4875
Mo2 0.3333 0.6667 0.6754
W1 0.0000 0.0000 0.8632
W2 0.3333 0.6667 0.0512
Se1 0.3333 0.6667 0.4429
Se2 0.3333 0.6667 0.5321
S1 0.0000 0.0000 0.6348
S2 0.0000 0.0000 0.7160
S3 0.3333 0.6667 0.8225
S4 0.3333 0.6667 0.9040
```

Most intense lines, 2θ = 10–90°, in order of falling intensity:
| 2theta | intensity |
| --- | --- |
| 11.76 | 100 |
| 36.73 | 78 |
| 44.50 | 39 |
| 31.24 | 39 |
| 55.55 | 25 |
| 14.13 | 22 |
| 39.53 | 17 |
| 33.46 | 13 |
| 46.32 | 12 |
| 78.73 | 12 |